Calculated X-ray diffraction stick pattern
Compound: Ac3GaPb3
Radiation: copper Kα
Structure: a crystal structure in Alexandria, relaxed with GGA-PBE
Peak positions follow from Bragg's law for the DFT cell and can differ from measured ones.

The 10 most intense peaks (10° ≤ 2θ ≤ 90°), in order of rising 2θ:
Position (°2θ)  I (rel.)
27.43  56
28.21  40
28.43  100
28.66  61
32.64  29
33.43  78
37.02  51
47.47  38
54.74  26
61.59  30

Structure:
```
14
Lattice="6.2593 -2.4282 0.0000 6.2593 2.4282 0.0000 -4.7241 0.0000 15.7835" Properties=species:S:1:pos:R:3 pbc="T T T"
Ac -1.5072 0.0000 6.0200
Ac -3.0988 0.0000 14.5456
Ac 1.8648 0.0000 3.6659
Ac 5.9296 0.0000 12.1175
Ac 10.8932 0.0000 1.2378
Ac 9.3016 0.0000 9.7635
Ga 0.2519 0.0000 9.9358
Ga 7.5425 0.0000 5.8477
Pb 2.2025 0.0000 7.3153
Pb 0.3216 0.0000 14.5520
Pb 2.4665 0.0000 12.1526
Pb 5.3280 0.0000 3.6309
Pb 7.4728 0.0000 1.2315
Pb 5.5920 0.0000 8.4682
```